[1]
Calculated X-ray powder pattern
Compound: Tb4Co
Radiation: CuKα
Structure: a cell relaxed with PBE

Top 8 peaks for 2θ from 15° to 90°, low angle first:
- 2θ = 29.3°, 3.053 Å, I 100
- 2θ = 33.9°, 2.644 Å, I 40
- 2θ = 44.5°, 2.035 Å, I 10
- 2θ = 48.7°, 1.869 Å, I 41
- 2θ = 57.8°, 1.594 Å, I 39
- 2θ = 60.7°, 1.526 Å, I 9
- 2θ = 78.9°, 1.213 Å, I 14
- 2θ = 81.4°, 1.182 Å, I 10

Structural model:
a b c (Å): 7.478 7.478 7.478
angles (deg): 60.00 60.00 60.00
Fractional coordinates of all 10 atoms:
Tb: 0.220 0.760 0.760
Tb: 0.240 0.240 0.240
Tb: 0.240 0.240 0.780
Tb: 0.240 0.780 0.240
Tb: 0.760 0.220 0.760
Tb: 0.760 0.760 0.220
Tb: 0.760 0.760 0.760
Tb: 0.780 0.240 0.240
Co: 0.375 0.375 0.375
Co: 0.625 0.625 0.625


[2]
Calculated X-ray powder pattern
Compound: CaCrCu3Se4
Radiation: CuKα
Structure: a cell relaxed with PBE

Top 8 peaks for 2θ from 15° to 90°, low angle first:
- 2θ = 26.0°, 3.432 Å, I 99
- 2θ = 43.0°, 2.102 Å, I 100
- 2θ = 50.9°, 1.792 Å, I 42
- 2θ = 55.8°, 1.649 Å, I 9
- 2θ = 62.5°, 1.486 Å, I 15
- 2θ = 68.8°, 1.364 Å, I 15
- 2θ = 78.9°, 1.213 Å, I 27
- 2θ = 84.7°, 1.144 Å, I 10

Structural model:
a b c (Å): 5.945 5.945 5.945
angles (deg): 90.00 90.00 90.00
Fractional coordinates of all 9 atoms:
Ca: 0.000 0.000 0.000
Cr: 0.500 0.500 0.500
Cu: 0.000 0.500 0.500
Cu: 0.500 0.000 0.500
Cu: 0.500 0.500 0.000
Se: 0.269 0.269 0.731
Se: 0.269 0.731 0.269
Se: 0.731 0.269 0.269
Se: 0.731 0.731 0.731


[3]
Calculated X-ray powder pattern
Compound: CaTiO3
Radiation: CuKα
Structure: a cell relaxed with PBE

Top 8 peaks for 2θ from 15° to 90°, low angle first:
- 2θ = 32.7°, 2.740 Å, I 100
- 2θ = 33.1°, 2.709 Å, I 69
- 2θ = 40.5°, 2.228 Å, I 14
- 2θ = 46.3°, 1.960 Å, I 35
- 2θ = 47.5°, 1.915 Å, I 51
- 2θ = 58.1°, 1.588 Å, I 24
- 2θ = 58.8°, 1.570 Å, I 48
- 2θ = 68.5°, 1.370 Å, I 28

Structural model:
a b c (Å): 5.481 5.481 5.481
angles (deg): 120.77 120.77 88.67
Fractional coordinates of all 10 atoms:
Ca: 0.250 0.750 0.500
Ca: 0.750 0.250 0.500
Ti: 0.000 0.000 0.000
Ti: 0.500 0.500 0.000
O: 0.191 0.691 0.882
O: 0.250 0.250 0.000
O: 0.309 0.191 0.500
O: 0.691 0.809 0.500
O: 0.750 0.750 0.000
O: 0.809 0.309 0.118


[4]
Calculated X-ray powder pattern
Compound: BaCuSi2O6
Radiation: CuKα
Structure: a cell relaxed with PBE

Top 8 peaks for 2θ from 15° to 90°, low angle first:
- 2θ = 23.7°, 3.762 Å, I 92
- 2θ = 26.9°, 3.311 Å, I 29
- 2θ = 28.9°, 3.089 Å, I 26
- 2θ = 29.5°, 3.023 Å, I 100
- 2θ = 35.3°, 2.541 Å, I 61
- 2θ = 36.7°, 2.451 Å, I 74
- 2θ = 43.0°, 2.105 Å, I 38
- 2θ = 51.8°, 1.764 Å, I 40

Structural model:
a b c (Å): 7.558 7.558 7.558
angles (deg): 123.23 123.23 84.49
Fractional coordinates of all 20 atoms:
Ba: 0.250 0.750 0.500
Ba: 0.750 0.250 0.500
Cu: 0.121 0.121 0.000
Cu: 0.879 0.879 0.000
Si: 0.274 0.274 0.548
Si: 0.274 0.726 0.000
Si: 0.726 0.274 0.000
Si: 0.726 0.726 0.452
O: 0.067 0.067 0.385
O: 0.067 0.682 0.000
O: 0.235 0.500 0.735
O: 0.318 0.318 0.385
O: 0.318 0.933 0.000
O: 0.500 0.235 0.735
O: 0.500 0.765 0.265
O: 0.682 0.067 0.000
O: 0.682 0.682 0.615
O: 0.765 0.500 0.265
O: 0.933 0.318 0.000
O: 0.933 0.933 0.615


[5]
Calculated X-ray powder pattern
Compound: Na3MgCu2SbO6
Radiation: CuKα
Structure: a cell relaxed with PBE

Top 8 peaks for 2θ from 15° to 90°, low angle first:
- 2θ = 15.8°, 5.608 Å, I 100
- 2θ = 17.8°, 4.990 Å, I 32
- 2θ = 31.9°, 2.804 Å, I 25
- 2θ = 33.6°, 2.664 Å, I 28
- 2θ = 34.8°, 2.575 Å, I 36
- 2θ = 36.0°, 2.495 Å, I 30
- 2θ = 37.5°, 2.401 Å, I 25
- 2θ = 45.3°, 2.000 Å, I 25

Structural model:
a b c (Å): 6.435 6.435 5.670
angles (deg): 93.66 93.66 128.53
Fractional coordinates of all 13 atoms:
Na: 0.000 0.000 0.000
Na: 0.356 0.641 0.994
Na: 0.641 0.356 0.994
Mg: 0.995 0.995 0.499
Cu: 0.498 0.998 0.494
Cu: 0.998 0.498 0.494
Sb: 0.496 0.496 0.495
O: 0.134 0.363 0.320
O: 0.290 0.290 0.753
O: 0.363 0.134 0.320
O: 0.631 0.860 0.670
O: 0.704 0.704 0.238
O: 0.860 0.631 0.670


[6]
Calculated X-ray powder pattern
Compound: Hf9PW4
Radiation: CuKα
Structure: a cell relaxed with PBE

Top 8 peaks for 2θ from 15° to 90°, low angle first:
- 2θ = 29.2°, 3.062 Å, I 45
- 2θ = 31.0°, 2.887 Å, I 91
- 2θ = 32.7°, 2.739 Å, I 100
- 2θ = 37.4°, 2.402 Å, I 45
- 2θ = 38.9°, 2.315 Å, I 40
- 2θ = 43.1°, 2.101 Å, I 48
- 2θ = 57.3°, 1.608 Å, I 38
- 2θ = 62.5°, 1.485 Å, I 36

Structural model:
a b c (Å): 8.661 8.661 8.661
angles (deg): 90.00 90.00 90.00
Fractional coordinates of all 28 atoms:
Hf: 0.039 0.578 0.750
Hf: 0.039 0.961 0.750
Hf: 0.106 0.303 0.549
Hf: 0.106 0.303 0.951
Hf: 0.303 0.106 0.049
Hf: 0.303 0.106 0.451
Hf: 0.303 0.697 0.049
Hf: 0.303 0.697 0.451
Hf: 0.422 0.961 0.750
Hf: 0.578 0.039 0.250
Hf: 0.697 0.303 0.549
Hf: 0.697 0.303 0.951
Hf: 0.697 0.894 0.549
Hf: 0.697 0.894 0.951
Hf: 0.894 0.697 0.049
Hf: 0.894 0.697 0.451
Hf: 0.961 0.039 0.250
Hf: 0.961 0.422 0.250
P: 0.167 0.833 0.250
P: 0.833 0.167 0.750
W: 0.279 0.389 0.250
W: 0.389 0.279 0.750
W: 0.389 0.611 0.750
W: 0.500 0.500 0.000
W: 0.500 0.500 0.500
W: 0.611 0.389 0.250
W: 0.611 0.721 0.250
W: 0.721 0.611 0.750


[7]
Calculated X-ray powder pattern
Compound: InCuPt2
Radiation: CuKα
Structure: a cell relaxed with PBE

Top 8 peaks for 2θ from 15° to 90°, low angle first:
- 2θ = 23.2°, 3.838 Å, I 11
- 2θ = 39.0°, 2.308 Å, I 100
- 2θ = 44.4°, 2.042 Å, I 35
- 2θ = 47.4°, 1.919 Å, I 14
- 2θ = 64.5°, 1.444 Å, I 11
- 2θ = 66.9°, 1.398 Å, I 20
- 2θ = 78.1°, 1.224 Å, I 26
- 2θ = 82.5°, 1.170 Å, I 11

Structural model:
a b c (Å): 4.085 4.085 3.838
angles (deg): 90.00 90.00 90.00
Fractional coordinates of all 4 atoms:
In: 0.000 0.000 0.000
Cu: 0.500 0.500 0.000
Pt: 0.000 0.500 0.500
Pt: 0.500 0.000 0.500


[8]
Calculated X-ray powder pattern
Compound: LaZnIn
Radiation: CuKα
Structure: a cell relaxed with PBE

Top 8 peaks for 2θ from 15° to 90°, low angle first:
- 2θ = 31.3°, 2.859 Å, I 100
- 2θ = 37.4°, 2.405 Å, I 61
- 2θ = 46.2°, 1.965 Å, I 11
- 2θ = 49.5°, 1.840 Å, I 27
- 2θ = 60.9°, 1.522 Å, I 28
- 2θ = 63.7°, 1.462 Å, I 25
- 2θ = 85.7°, 1.134 Å, I 11
- 2θ = 88.1°, 1.109 Å, I 16

Structural model:
a b c (Å): 4.811 4.811 7.859
angles (deg): 90.00 90.00 120.00
Fractional coordinates of all 6 atoms:
La: 0.000 0.000 0.000
La: 0.000 0.000 0.500
Zn: 0.333 0.667 0.250
Zn: 0.667 0.333 0.750
In: 0.333 0.667 0.750
In: 0.667 0.333 0.250


[9]
Calculated X-ray powder pattern
Compound: Na3Tl4
Radiation: CuKα
Structure: a cell relaxed with PBE

Top 8 peaks for 2θ from 15° to 90°, low angle first:
- 2θ = 20.2°, 4.386 Å, I 100
- 2θ = 20.4°, 4.346 Å, I 27
- 2θ = 33.3°, 2.689 Å, I 81
- 2θ = 33.6°, 2.670 Å, I 78
- 2θ = 39.4°, 2.286 Å, I 31
- 2θ = 39.6°, 2.275 Å, I 22
- 2θ = 48.0°, 1.895 Å, I 29
- 2θ = 59.7°, 1.549 Å, I 30

Structural model:
a b c (Å): 9.229 9.229 9.229
angles (deg): 33.87 33.87 33.87
Fractional coordinates of all 7 atoms:
Na: 0.000 0.000 0.000
Na: 0.131 0.131 0.131
Na: 0.511 0.511 0.511
Tl: 0.259 0.259 0.259
Tl: 0.381 0.381 0.381
Tl: 0.755 0.755 0.755
Tl: 0.877 0.877 0.877


[10]
Calculated X-ray powder pattern
Compound: HoO2
Radiation: CuKα
Structure: a cell relaxed with PBE

Top 8 peaks for 2θ from 15° to 90°, low angle first:
- 2θ = 15.0°, 5.897 Å, I 43
- 2θ = 23.0°, 3.871 Å, I 49
- 2θ = 28.8°, 3.103 Å, I 100
- 2θ = 30.5°, 2.934 Å, I 46
- 2θ = 33.3°, 2.694 Å, I 38
- 2θ = 33.8°, 2.655 Å, I 45
- 2θ = 39.3°, 2.293 Å, I 36
- 2θ = 50.2°, 1.819 Å, I 32

Structural model:
a b c (Å): 4.174 3.649 6.164
angles (deg): 90.00 106.92 90.00
Fractional coordinates of all 6 atoms:
Ho: 0.171 0.250 0.314
Ho: 0.829 0.750 0.686
O: 0.183 0.750 0.052
O: 0.264 0.750 0.543
O: 0.736 0.250 0.457
O: 0.817 0.250 0.948


[11]
Calculated X-ray powder pattern
Compound: Sc3V2Si3
Radiation: CuKα
Structure: a cell relaxed with PBE

Top 8 peaks for 2θ from 15° to 90°, low angle first:
- 2θ = 35.9°, 2.504 Å, I 45
- 2θ = 37.3°, 2.410 Å, I 22
- 2θ = 40.0°, 2.254 Å, I 100
- 2θ = 40.9°, 2.208 Å, I 45
- 2θ = 42.2°, 2.143 Å, I 81
- 2θ = 60.2°, 1.538 Å, I 17
- 2θ = 65.7°, 1.421 Å, I 21
- 2θ = 67.1°, 1.395 Å, I 16

Structural model:
a b c (Å): 7.650 7.650 5.176
angles (deg): 90.00 90.00 120.00
Fractional coordinates of all 16 atoms:
Sc: 0.000 0.246 0.250
Sc: 0.000 0.754 0.750
Sc: 0.246 0.000 0.250
Sc: 0.246 0.246 0.750
Sc: 0.754 0.000 0.750
Sc: 0.754 0.754 0.250
V: 0.333 0.667 0.000
V: 0.333 0.667 0.500
V: 0.667 0.333 0.000
V: 0.667 0.333 0.500
Si: 0.000 0.405 0.750
Si: 0.000 0.595 0.250
Si: 0.405 0.000 0.750
Si: 0.405 0.405 0.250
Si: 0.595 0.000 0.250
Si: 0.595 0.595 0.750